# Pr2Ni5B4
Theoretical powder XRD pattern, CuKα. Input: a cell relaxed with GGA-PBE.

Peak list (10 most intense, 10° ≤ 2θ ≤ 90°, by angle)
21.8°, intensity 53
30.0°, intensity 68
32.6°, intensity 100
34.5°, intensity 61
34.9°, intensity 58
38.7°, intensity 83
40.1°, intensity 82
41.8°, intensity 57
44.0°, intensity 49
44.3°, intensity 74

Cell lengths 5.5479, 5.5479, 6.8142 Å; angles 121.07, 121.07, 55.09 degrees
Fractional coordinates of all 11 atoms:
Pr (0.2258, 0.2258, 0.1490)
Pr (0.7742, 0.7742, 0.8510)
Ni (0.1725, 0.6764, 0.6278)
Ni (0.3236, 0.8275, 0.3722)
Ni (0.5000, 0.5000, 0.0000)
Ni (0.6764, 0.1725, 0.6278)
Ni (0.8275, 0.3236, 0.3722)
B (0.0991, 0.0991, 0.6387)
B (0.2790, 0.2790, 0.6596)
B (0.7210, 0.7210, 0.3404)
B (0.9009, 0.9009, 0.3613)

# Sc2Ni21B6
Theoretical powder XRD pattern, CuKα. Input: a cell relaxed with GGA-PBE.

Peak list (10 most intense, 10° ≤ 2θ ≤ 90°, by angle)
33.9°, intensity 7
38.1°, intensity 20
41.9°, intensity 22
44.5°, intensity 100
48.7°, intensity 16
51.1°, intensity 25
51.9°, intensity 15
76.5°, intensity 20
78.3°, intensity 12
83.3°, intensity 7

Cell lengths 7.4752, 7.4752, 7.4752 Å; angles 60.00, 60.00, 60.00 degrees
Fractional coordinates of all 29 atoms:
Sc (0.2500, 0.2500, 0.2500)
Sc (0.7500, 0.7500, 0.7500)
Ni (0.0000, 0.0000, 0.0000)
Ni (0.0000, 0.0000, 0.3374)
Ni (0.0000, 0.0000, 0.6626)
Ni (0.0000, 0.3374, 0.0000)
Ni (0.0000, 0.3374, 0.6626)
Ni (0.0000, 0.6626, 0.0000)
Ni (0.0000, 0.6626, 0.3374)
Ni (0.1575, 0.6142, 0.6142)
Ni (0.3374, 0.0000, 0.0000)
Ni (0.3374, 0.0000, 0.6626)
Ni (0.3374, 0.6626, 0.0000)
Ni (0.3858, 0.3858, 0.3858)
Ni (0.3858, 0.3858, 0.8425)
Ni (0.3858, 0.8425, 0.3858)
Ni (0.6142, 0.1575, 0.6142)
Ni (0.6142, 0.6142, 0.1575)
Ni (0.6142, 0.6142, 0.6142)
Ni (0.6626, 0.0000, 0.0000)
Ni (0.6626, 0.0000, 0.3374)
Ni (0.6626, 0.3374, 0.0000)
Ni (0.8425, 0.3858, 0.3858)
B (0.2701, 0.2701, 0.7299)
B (0.2701, 0.7299, 0.2701)
B (0.2701, 0.7299, 0.7299)
B (0.7299, 0.2701, 0.2701)
B (0.7299, 0.2701, 0.7299)
B (0.7299, 0.7299, 0.2701)

# Sc3Ni20B6
Theoretical powder XRD pattern, CuKα. Input: a cell relaxed with GGA-PBE.

Peak list (10 most intense, 10° ≤ 2θ ≤ 90°, by angle)
33.7°, intensity 7
37.9°, intensity 24
41.6°, intensity 20
44.3°, intensity 100
48.5°, intensity 17
50.8°, intensity 31
51.6°, intensity 12
76.0°, intensity 21
77.9°, intensity 11
82.8°, intensity 8

Cell lengths 7.5119, 7.5119, 7.5119 Å; angles 60.00, 60.00, 60.00 degrees
Fractional coordinates of all 29 atoms:
Sc (0.0000, 0.0000, 0.0000)
Sc (0.2500, 0.2500, 0.2500)
Sc (0.7500, 0.7500, 0.7500)
Ni (0.0000, 0.0000, 0.3430)
Ni (0.0000, 0.0000, 0.6570)
Ni (0.0000, 0.3430, 0.0000)
Ni (0.0000, 0.3430, 0.6570)
Ni (0.0000, 0.6570, 0.0000)
Ni (0.0000, 0.6570, 0.3430)
Ni (0.1580, 0.6140, 0.6140)
Ni (0.3430, 0.0000, 0.0000)
Ni (0.3430, 0.0000, 0.6570)
Ni (0.3430, 0.6570, 0.0000)
Ni (0.3860, 0.3860, 0.3860)
Ni (0.3860, 0.3860, 0.8420)
Ni (0.3860, 0.8420, 0.3860)
Ni (0.6140, 0.1580, 0.6140)
Ni (0.6140, 0.6140, 0.1580)
Ni (0.6140, 0.6140, 0.6140)
Ni (0.6570, 0.0000, 0.0000)
Ni (0.6570, 0.0000, 0.3430)
Ni (0.6570, 0.3430, 0.0000)
Ni (0.8420, 0.3860, 0.3860)
B (0.2671, 0.2671, 0.7329)
B (0.2671, 0.7329, 0.2671)
B (0.2671, 0.7329, 0.7329)
B (0.7329, 0.2671, 0.2671)
B (0.7329, 0.2671, 0.7329)
B (0.7329, 0.7329, 0.2671)

# Si4Ni9B2
Theoretical powder XRD pattern, CuKα. Input: a cell relaxed with GGA-PBE.

Peak list (10 most intense, 10° ≤ 2θ ≤ 90°, by angle)
29.2°, intensity 11
31.5°, intensity 15
32.7°, intensity 19
43.5°, intensity 95
46.9°, intensity 20
48.5°, intensity 100
53.2°, intensity 18
78.0°, intensity 14
79.8°, intensity 11
83.5°, intensity 16

Cell lengths 6.4687, 6.4687, 6.4687 Å; angles 95.94, 95.94, 142.46 degrees
Fractional coordinates of all 15 atoms:
Si (0.0635, 0.0635, 0.6845)
Si (0.3789, 0.3789, 0.3155)
Si (0.6211, 0.9365, 0.0000)
Si (0.9365, 0.6211, 0.0000)
Ni (0.0446, 0.8289, 0.3733)
Ni (0.1711, 0.5445, 0.2157)
Ni (0.3288, 0.9554, 0.7843)
Ni (0.4555, 0.6712, 0.6267)
Ni (0.5000, 0.5000, 0.0000)
Ni (0.5445, 0.1711, 0.2157)
Ni (0.6712, 0.4555, 0.6267)
Ni (0.8289, 0.0446, 0.3733)
Ni (0.9554, 0.3288, 0.7843)
B (0.0000, 0.5000, 0.5000)
B (0.5000, 0.0000, 0.5000)

# SmNi12B6
Theoretical powder XRD pattern, CuKα. Input: a cell relaxed with GGA-PBE.

Peak list (10 most intense, 10° ≤ 2θ ≤ 90°, by angle)
31.7°, intensity 57
32.5°, intensity 27
34.8°, intensity 49
39.4°, intensity 65
41.2°, intensity 74
41.3°, intensity 100
43.9°, intensity 41
45.2°, intensity 36
49.7°, intensity 32
61.5°, intensity 28

Cell lengths 6.0345, 6.0345, 11.0245 Å; angles 90.00, 90.00, 75.23 degrees
Fractional coordinates of all 38 atoms:
Sm (0.1665, 0.8335, 0.5000)
Sm (0.8335, 0.1665, 0.0000)
Ni (0.0040, 0.6304, 0.9390)
Ni (0.1186, 0.1448, 0.7578)
Ni (0.1448, 0.1186, 0.2578)
Ni (0.1948, 0.5433, 0.7364)
Ni (0.2121, 0.5264, 0.2778)
Ni (0.2181, 0.7819, 0.1016)
Ni (0.2724, 0.3408, 0.0699)
Ni (0.3408, 0.2724, 0.5699)
Ni (0.3696, 0.9960, 0.9390)
Ni (0.4339, 0.5661, 0.9203)
Ni (0.4567, 0.8052, 0.7364)
Ni (0.4736, 0.7879, 0.2778)
Ni (0.5264, 0.2121, 0.7778)
Ni (0.5433, 0.1948, 0.2364)
Ni (0.5661, 0.4339, 0.4203)
Ni (0.6304, 0.0040, 0.4390)
Ni (0.6592, 0.7276, 0.0699)
Ni (0.7276, 0.6592, 0.5699)
Ni (0.7819, 0.2181, 0.6016)
Ni (0.7879, 0.4736, 0.7778)
Ni (0.8052, 0.4567, 0.2364)
Ni (0.8552, 0.8814, 0.7578)
Ni (0.8814, 0.8552, 0.2578)
Ni (0.9960, 0.3696, 0.4390)
B (0.0125, 0.4015, 0.6244)
B (0.1639, 0.8361, 0.8394)
B (0.2444, 0.3256, 0.8879)
B (0.3256, 0.2444, 0.3879)
B (0.4015, 0.0125, 0.1244)
B (0.4867, 0.5133, 0.1588)
B (0.5133, 0.4867, 0.6588)
B (0.5985, 0.9875, 0.6244)
B (0.6744, 0.7556, 0.8879)
B (0.7556, 0.6744, 0.3879)
B (0.8361, 0.1639, 0.3394)
B (0.9875, 0.5985, 0.1244)

# Ni20Sn3B6
Theoretical powder XRD pattern, CuKα. Input: a cell relaxed with GGA-PBE.

Peak list (10 most intense, 10° ≤ 2θ ≤ 90°, by angle)
23.6°, intensity 8
37.7°, intensity 31
41.4°, intensity 51
44.1°, intensity 100
48.2°, intensity 29
50.6°, intensity 15
57.3°, intensity 9
73.1°, intensity 9
75.6°, intensity 32
77.4°, intensity 13

Cell lengths 7.5476, 7.5476, 7.5476 Å; angles 60.00, 60.00, 60.00 degrees
Fractional coordinates of all 29 atoms:
Ni (0.0000, 0.0000, 0.3413)
Ni (0.0000, 0.0000, 0.6587)
Ni (0.0000, 0.3413, 0.0000)
Ni (0.0000, 0.3413, 0.6587)
Ni (0.0000, 0.6587, 0.0000)
Ni (0.0000, 0.6587, 0.3413)
Ni (0.1566, 0.6145, 0.6145)
Ni (0.3413, 0.0000, 0.0000)
Ni (0.3413, 0.0000, 0.6587)
Ni (0.3413, 0.6587, 0.0000)
Ni (0.3855, 0.3855, 0.3855)
Ni (0.3855, 0.3855, 0.8434)
Ni (0.3855, 0.8434, 0.3855)
Ni (0.6145, 0.1566, 0.6145)
Ni (0.6145, 0.6145, 0.1566)
Ni (0.6145, 0.6145, 0.6145)
Ni (0.6587, 0.0000, 0.0000)
Ni (0.6587, 0.0000, 0.3413)
Ni (0.6587, 0.3413, 0.0000)
Ni (0.8434, 0.3855, 0.3855)
Sn (0.0000, 0.0000, 0.0000)
Sn (0.2500, 0.2500, 0.2500)
Sn (0.7500, 0.7500, 0.7500)
B (0.2752, 0.2752, 0.7248)
B (0.2752, 0.7248, 0.2752)
B (0.2752, 0.7248, 0.7248)
B (0.7248, 0.2752, 0.2752)
B (0.7248, 0.2752, 0.7248)
B (0.7248, 0.7248, 0.2752)

# SrNi12B6
Theoretical powder XRD pattern, CuKα. Input: a cell relaxed with GGA-PBE.

Peak list (10 most intense, 10° ≤ 2θ ≤ 90°, by angle)
16.0°, intensity 14
32.4°, intensity 60
41.0°, intensity 49
41.1°, intensity 100
46.4°, intensity 16
49.4°, intensity 42
50.4°, intensity 21
57.8°, intensity 24
61.2°, intensity 18
82.5°, intensity 19

Cell lengths 6.0545, 6.0545, 6.0545 Å; angles 104.36, 104.36, 104.36 degrees
Fractional coordinates of all 19 atoms:
Sr (0.0000, 0.0000, 0.0000)
Ni (0.1314, 0.5000, 0.8686)
Ni (0.1314, 0.8686, 0.5000)
Ni (0.1877, 0.4603, 0.4603)
Ni (0.4603, 0.1877, 0.4603)
Ni (0.4603, 0.4603, 0.1877)
Ni (0.5000, 0.1314, 0.8686)
Ni (0.5000, 0.8686, 0.1314)
Ni (0.5397, 0.5397, 0.8123)
Ni (0.5397, 0.8123, 0.5397)
Ni (0.8123, 0.5397, 0.5397)
Ni (0.8686, 0.1314, 0.5000)
Ni (0.8686, 0.5000, 0.1314)
B (0.2336, 0.2336, 0.6591)
B (0.2336, 0.6591, 0.2336)
B (0.3409, 0.7664, 0.7664)
B (0.6591, 0.2336, 0.2336)
B (0.7664, 0.3409, 0.7664)
B (0.7664, 0.7664, 0.3409)

# TaNiB
Theoretical powder XRD pattern, CuKα. Input: a cell relaxed with GGA-PBE.

Peak list (10 most intense, 10° ≤ 2θ ≤ 90°, by angle)
26.8°, intensity 32
27.9°, intensity 68
32.2°, intensity 56
40.1°, intensity 50
40.8°, intensity 100
43.8°, intensity 89
45.4°, intensity 48
50.9°, intensity 26
70.9°, intensity 28
77.7°, intensity 32

Cell lengths 6.8466, 6.8466, 3.0560 Å; angles 90.00, 90.00, 152.15 degrees
Fractional coordinates of all 6 atoms:
Ta (0.0985, 0.9015, 0.7500)
Ta (0.9015, 0.0985, 0.2500)
Ni (0.2961, 0.7039, 0.7500)
Ni (0.7039, 0.2961, 0.2500)
B (0.4649, 0.5351, 0.7500)
B (0.5351, 0.4649, 0.2500)